1.
Starting from DFT lattice parameters and positions (GGA-PBE), the PXRD pattern of MgNi3 was calculated for a wavelength of 1.5418 Å.

Largest 6 diffraction maxima, most intense first, 5° ≤ 2θ ≤ 70°:
two_theta  d [Å]  I (rel.)
44.60  2.032  100
21.93  4.053  78
48.28  1.885  57
46.33  1.960  36
52.13  1.755  31
44.19  2.050  25

Crystal structure
```
MgNi3
1.0
2.3758 1.3717 7.8385
-2.3758 1.3717 7.8385
0.0000 -2.7433 7.8385
Mg Ni
3 9
direct
0.0000 0.0000 0.0000
0.1413 0.1413 0.1413
0.8587 0.8587 0.8587
0.0816 0.5856 0.5856
0.3335 0.3335 0.3335
0.4144 0.4144 0.9184
0.4144 0.9184 0.4144
0.5000 0.5000 0.5000
0.5856 0.0816 0.5856
0.5856 0.5856 0.0816
0.6665 0.6665 0.6665
0.9184 0.4144 0.4144
```

***

2.
Starting from DFT lattice parameters and positions (GGA-PBE), the PXRD pattern of Mg2Ni was calculated for a wavelength of 1.5418 Å.

Largest 6 diffraction maxima, most intense first, 5° ≤ 2θ ≤ 70°:
two_theta  d [Å]  I (rel.)
45.40  1.998  100
40.18  2.244  51
20.26  4.383  49
39.72  2.269  35
37.30  2.411  35
20.91  4.248  28

Crystal structure
```
Mg2Ni
1.0
5.1830 0.0000 0.0000
-2.5915 4.4886 0.0000
0.0000 0.0000 13.1498
Mg Ni
12 6
direct
0.0000 0.5000 0.0508
0.0000 0.5000 0.2826
0.1639 0.3278 0.5000
0.1639 0.8361 0.8333
0.3278 0.1639 0.1667
0.5000 0.0000 0.3841
0.5000 0.0000 0.6159
0.5000 0.5000 0.7174
0.5000 0.5000 0.9492
0.6722 0.8361 0.1667
0.8361 0.1639 0.8333
0.8361 0.6722 0.5000
0.0000 0.0000 0.0000
0.0000 0.0000 0.3333
0.0000 0.0000 0.6667
0.0000 0.5000 0.6667
0.5000 0.0000 0.0000
0.5000 0.5000 0.3333
```